(1)
The following is a simulated powder X-ray diffraction pattern of Ca3Bi2. It was derived from DFT lattice parameters and positions (GGA-PBE), using CuKα.
Lines closer than 0.1° are merged.

Atomic structure:
```
15
Lattice="8.707 -2.647 0.000 8.707 2.647 0.000 -1.466 0.000 11.694" Properties=species:S:1:pos:R:3 pbc="T T T"
Ca 0.000 0.000 0.000
Ca 16.919 0.000 3.900
Ca -0.971 0.000 7.794
Ca 5.801 0.000 0.003
Ca 5.305 0.000 3.900
Ca 4.835 0.000 7.799
Ca 11.113 0.000 3.896
Ca 10.147 0.000 11.691
Ca 10.642 0.000 7.794
Bi 1.858 0.000 6.038
Bi 2.966 0.000 1.752
Bi 8.142 0.000 2.147
Bi 7.806 0.000 9.548
Bi 12.982 0.000 9.942
Bi 14.090 0.000 5.656
```

Most intense lines, 15 to 90 degrees two-theta, most intense first:
2theta	d/Å	I/Imax
22.81	3.898	100.0
33.86	2.647	68.1
31.05	2.880	63.1
19.36	4.585	38.7
41.96	2.153	37.3
41.56	2.173	26.5

---

(2)
The following is a simulated powder X-ray diffraction pattern of Ca2Cd16Bi. It was derived from DFT lattice parameters and positions (GGA-PBE), using CuKα.
Lines closer than 0.1° are merged.

Atomic structure:
```
19
Lattice="5.203 3.004 4.927 -5.203 3.004 4.927 0.000 -6.008 4.927" Properties=species:S:1:pos:R:3 pbc="T T T"
Ca 0.000 0.000 0.000
Ca 0.000 0.000 4.774
Cd 0.000 -2.904 2.554
Cd -2.515 1.452 2.554
Cd -2.411 -1.392 7.233
Cd 0.000 -3.206 7.140
Cd -2.776 1.603 7.140
Cd -1.655 -2.814 9.751
Cd -3.265 -0.026 9.751
Cd 2.515 1.452 2.554
Cd 0.000 0.000 8.267
Cd 2.411 -1.392 7.233
Cd 0.000 2.784 7.233
Cd 1.655 -2.814 9.751
Cd -1.610 2.841 9.751
Cd 2.776 1.603 7.140
Cd 3.265 -0.026 9.751
Cd 1.610 2.841 9.751
Bi 0.000 0.000 11.364
```

Most intense lines, 15 to 90 degrees two-theta, most intense first:
2theta	d/Å	I/Imax
39.16	2.300	100.0
34.98	2.565	71.9
34.48	2.601	44.6
40.51	2.227	36.6
36.47	2.464	31.3
29.74	3.004	30.5

---

(3)
The following is a simulated powder X-ray diffraction pattern of CaCd3Bi3. It was derived from DFT lattice parameters and positions (GGA-PBE), using CuKα.
Lines closer than 0.1° are merged.

Atomic structure:
```
14
Lattice="4.097 2.366 7.560 -4.097 2.366 7.560 0.000 -4.731 7.560" Properties=species:S:1:pos:R:3 pbc="T T T"
Ca 0.000 0.000 3.803
Ca 0.000 0.000 18.877
Cd -1.547 -2.574 8.476
Cd -3.002 0.053 14.204
Cd -1.455 2.627 8.476
Cd 1.455 -2.627 14.204
Cd 3.002 -0.053 8.476
Cd 1.547 2.574 14.204
Bi -2.462 0.020 9.738
Bi -1.248 -2.122 12.942
Bi 1.214 -2.142 9.738
Bi -1.214 2.142 12.942
Bi 1.249 2.122 9.738
Bi 2.462 -0.020 12.942
```

Most intense lines, 15 to 90 degrees two-theta, most intense first:
2theta	d/Å	I/Imax
32.22	2.778	100.0
38.04	2.366	69.6
21.69	4.097	64.0
24.71	3.602	53.1
42.10	2.147	51.1
23.54	3.780	23.9